Diffraction record for HoSiPd5. The powder diffractogram is theoretical, not measured: it uses the GGA-PBE geometry in Alexandria and Cu Kα X-rays.
Lines closer than 0.1° are merged.

Atomic structure:
```
data_HoSiPd5
_chemical_formula_sum 'Ho1 Si1 Pd5'
_symmetry_space_group_name_H-M 'P 4/m m m'
_symmetry_Int_Tables_number 123
_symmetry_space_group_name_Hall '-P 4 2'
_cell_length_a 4.0349
_cell_length_b 4.0349
_cell_length_c 7.1409
_cell_angle_alpha 90.00
_cell_angle_beta 90.00
_cell_angle_gamma 90.00
loop_
_atom_site_label
_atom_site_type_symbol
_atom_site_fract_x
_atom_site_fract_y
_atom_site_fract_z
Ho1 Ho 0.0000 0.0000 0.0000
Si1 Si 0.5000 0.5000 0.5000
Pd1 Pd 0.0000 0.5000 0.3001
Pd2 Pd 0.5000 0.5000 0.0000
```

The 10 most intense peaks (10° ≤ 2θ ≤ 90°), in order of falling intensity:
2θ (°)  I (rel.)  hkl
40.47  100.0  1 1 2
33.83  55.2  1 1 1
44.93  47.0  2 0 0
79.83  26.9  3 1 2
60.12  25.7  2 0 3
37.80  25.3  0 0 3
74.27  18.2  1 1 5
65.42  15.5  2 2 0
78.11  11.9  2 2 3
12.40  11.3  0 0 1

---

Diffraction record for ZnBP2PbO9. The powder diffractogram is theoretical, not measured: it uses the GGA-PBE geometry in Alexandria and Cu Kα X-rays.
Lines closer than 0.1° are merged.

Atomic structure:
```
data_ZnBP2PbO9
_chemical_formula_sum 'Zn2 B2 P4 Pb2 O18'
_symmetry_space_group_name_H-M 'P -1'
_symmetry_Int_Tables_number 2
_cell_length_a 5.3255
_cell_length_b 8.2133
_cell_length_c 8.3321
_cell_angle_alpha 88.87
_cell_angle_beta 89.18
_cell_angle_gamma 78.64
loop_
_symmetry_equiv_pos_as_xyz
'x,y,z'
'-x,-y,-z'
loop_
_atom_site_label
_atom_site_type_symbol
_atom_site_fract_x
_atom_site_fract_y
_atom_site_fract_z
Zn1 Zn 0.2072 0.2037 0.1666
B1 B 0.3585 0.5415 0.2726
P1 P 0.2706 0.8122 0.0626
P2 P 0.2862 0.7049 0.5658
Pb1 Pb 0.2609 0.0822 0.6885
O1 O 0.0143 0.1924 0.9608
O2 O 0.0380 0.8056 0.6388
O3 O 0.1918 0.4430 0.2066
O4 O 0.2083 0.6490 0.3967
O5 O 0.2943 0.9394 0.1954
O6 O 0.3917 0.5440 0.6640
O7 O 0.4055 0.8441 0.9048
O8 O 0.4226 0.6392 0.1318
O9 O 0.4834 0.8193 0.5491
```

The 10 most intense peaks (10° ≤ 2θ ≤ 90°), in order of falling intensity:
2θ (°)  I (rel.)  hkl
10.99  100.0  0 1 0
34.37  34.2  2 0 0
24.52  32.4  1 -1 1
28.57  31.3  1 1 -2
30.61  30.8  0 2 2
25.14  28.9  1 2 0
27.25  27.7  1 0 2
27.54  26.4  1 0 -2
21.37  25.8  0 0 2
30.87  22.1  1 -1 2

---

Diffraction record for AcIn2I5. The powder diffractogram is theoretical, not measured: it uses the GGA-PBE geometry in Alexandria and Cu Kα X-rays.
Lines closer than 0.1° are merged.

Atomic structure:
```
data_AcIn2I5
_chemical_formula_sum 'Ac4 In8 I20'
_symmetry_space_group_name_H-M 'P n m a'
_symmetry_Int_Tables_number 62
_cell_length_a 14.4794
_cell_length_b 10.0703
_cell_length_c 9.3349
_cell_angle_alpha 90.00
_cell_angle_beta 90.00
_cell_angle_gamma 90.00
loop_
_symmetry_equiv_pos_as_xyz
'x,y,z'
'-x,-y,-z'
'-x+1/2,-y,z+1/2'
'x+1/2,y,-z+1/2'
'x+1/2,-y+1/2,-z+1/2'
'-x+1/2,y+1/2,z+1/2'
'-x,y+1/2,-z'
'x,-y+1/2,z'
loop_
_atom_site_label
_atom_site_type_symbol
_atom_site_fract_x
_atom_site_fract_y
_atom_site_fract_z
Ac1 Ac 0.0042 0.2500 0.0867
In1 In 0.1780 0.5131 0.5366
I1 I 0.0026 0.2500 0.4449
I2 I 0.0860 0.5475 0.1686
I3 I 0.1872 0.2500 0.8698
I4 I 0.2183 0.7500 0.8251
```

The 10 most intense peaks (10° ≤ 2θ ≤ 90°), in order of falling intensity:
2θ (°)  I (rel.)  hkl
28.85  100.0  2 2 2
26.76  93.1  1 2 2
30.41  77.1  4 2 0
29.35  61.8  1 0 3
35.66  57.8  0 4 0
32.56  55.7  2 1 3
26.41  54.4  4 0 1
37.09  53.5  5 2 1
41.49  50.7  2 3 3
23.54  39.8  2 2 1